No. 1
This entry pairs a crystal structure of CaAc2Pr2 with its theoretical powder diffractogram. Radiation: Cu Kα (λ = 1.5418 Å). Structure: DFT lattice parameters and positions (PBE).
Peak positions follow from Bragg's law for the DFT cell and can differ from measured ones.

Atomic structure:
```
data_CaAc2Pr2
_chemical_formula_sum 'Ca3 Ac6 Pr6'
_cell_length_a 3.8664
_cell_length_b 3.8664
_cell_length_c 47.2280
_cell_angle_alpha 90.00
_cell_angle_beta 90.00
_cell_angle_gamma 120.00
_symmetry_space_group_name_H-M 'R -3 m'
_symmetry_Int_Tables_number 166
_symmetry_space_group_name_Hall '-R 3 2"'
loop_
_atom_site_label
_atom_site_fract_x
_atom_site_fract_y
_atom_site_fract_z
Ca1 0.0000 0.0000 0.0000
Ac1 0.0000 0.0000 0.4030
Pr1 0.0000 0.0000 0.1985
```

Top 6 peaks for 2θ = 10–90°, sorted by position:
2θ/deg	intensity	(hkl)
11.2	18.8	0 0 6
28.3	100.0	0 1 5
32.8	50.9	1 0 10
47.0	36.6	1 1 0
55.8	33.6	2 0 5
75.9	13.4	1 2 5

***

No. 2
This entry pairs a crystal structure of CaAc5Pr2 with its theoretical powder diffractogram. Radiation: Cu Kα (λ = 1.5418 Å). Structure: DFT lattice parameters and positions (PBE).
Peak positions follow from Bragg's law for the DFT cell and can differ from measured ones.

Atomic structure:
```
data_CaAc5Pr2
_chemical_formula_sum 'Ca2 Ac10 Pr4'
_cell_length_a 3.883
_cell_length_b 12.035
_cell_length_c 14.590
_cell_angle_alpha 90.00
_cell_angle_beta 90.00
_cell_angle_gamma 90.00
_symmetry_space_group_name_H-M 'I m m m'
_symmetry_Int_Tables_number 71
_symmetry_space_group_name_Hall '-I 2 2'
loop_
_atom_site_label
_atom_site_fract_x
_atom_site_fract_y
_atom_site_fract_z
Ca1 0.000 0.000 0.000
Ac1 0.000 0.234 0.367
Ac2 0.000 0.500 0.000
Pr1 0.000 0.500 0.254
```

Top 6 peaks for 2θ = 10–90°, sorted by position:
2θ/deg	intensity	(hkl)
28.0	75.9	1 2 1
28.6	100.0	0 2 4
29.4	47.1	1 0 3
29.7	43.1	0 4 0
52.1	39.7	0 6 4
55.8	31.8	2 2 4

***

No. 3
This entry pairs a crystal structure of CaAcPr2Tl4 with its theoretical powder diffractogram. Radiation: Cu Kα (λ = 1.5418 Å). Structure: DFT lattice parameters and positions (PBE).
Peak positions follow from Bragg's law for the DFT cell and can differ from measured ones.

Atomic structure:
```
data_CaAcPr2Tl4
_chemical_formula_sum 'Ca3 Ac3 Pr6 Tl12'
_cell_length_a 5.6028
_cell_length_b 5.6028
_cell_length_c 27.9855
_cell_angle_alpha 90.00
_cell_angle_beta 90.00
_cell_angle_gamma 120.00
_symmetry_space_group_name_H-M 'R -3 m'
_symmetry_Int_Tables_number 166
_symmetry_space_group_name_Hall '-R 3 2"'
loop_
_atom_site_label
_atom_site_fract_x
_atom_site_fract_y
_atom_site_fract_z
Ca1 0.0000 0.0000 0.0000
Ac1 0.0000 0.0000 0.5000
Pr1 0.0000 0.0000 0.2555
Tl1 0.0000 0.0000 0.1230
Tl2 0.0000 0.0000 0.3741
```

Top 6 peaks for 2θ = 10–90°, sorted by position:
2θ/deg	intensity	(hkl)
31.5	100.0	0 1 8
31.9	98.6	1 1 0
45.5	36.8	2 0 8
55.9	19.0	1 0 16
56.7	38.6	1 2 8
56.9	19.4	3 0 0

***

No. 4
This entry pairs a crystal structure of Ca2AcPrTl4 with its theoretical powder diffractogram. Radiation: Cu Kα (λ = 1.5418 Å). Structure: DFT lattice parameters and positions (PBE).
Peak positions follow from Bragg's law for the DFT cell and can differ from measured ones.

Atomic structure:
```
data_Ca2AcPrTl4
_chemical_formula_sum 'Ca6 Ac3 Pr3 Tl12'
_cell_length_a 5.6104
_cell_length_b 5.6104
_cell_length_c 27.6272
_cell_angle_alpha 90.00
_cell_angle_beta 90.00
_cell_angle_gamma 120.00
_symmetry_space_group_name_H-M 'R -3 m'
_symmetry_Int_Tables_number 166
_symmetry_space_group_name_Hall '-R 3 2"'
loop_
_atom_site_label
_atom_site_fract_x
_atom_site_fract_y
_atom_site_fract_z
Ca1 0.0000 0.0000 0.2490
Ac1 0.0000 0.0000 0.0000
Pr1 0.0000 0.0000 0.5000
Tl1 0.0000 0.0000 0.1266
Tl2 0.0000 0.0000 0.3785
```

Top 6 peaks for 2θ = 10–90°, sorted by position:
2θ/deg	intensity	(hkl)
19.3	21.9	0 1 2
31.8	99.7	0 1 8
31.9	100.0	1 1 0
45.7	37.0	2 0 8
56.6	19.0	1 0 16
56.8	58.6	3 0 0

***

Please write out number 1 again, unchanged.
This entry pairs a crystal structure of CaAc2Pr2 with its theoretical powder diffractogram. Radiation: Cu Kα (λ = 1.5418 Å). Structure: DFT lattice parameters and positions (PBE).
Peak positions follow from Bragg's law for the DFT cell and can differ from measured ones.

Atomic structure:
```
data_CaAc2Pr2
_chemical_formula_sum 'Ca3 Ac6 Pr6'
_cell_length_a 3.8664
_cell_length_b 3.8664
_cell_length_c 47.2280
_cell_angle_alpha 90.00
_cell_angle_beta 90.00
_cell_angle_gamma 120.00
_symmetry_space_group_name_H-M 'R -3 m'
_symmetry_Int_Tables_number 166
_symmetry_space_group_name_Hall '-R 3 2"'
loop_
_atom_site_label
_atom_site_fract_x
_atom_site_fract_y
_atom_site_fract_z
Ca1 0.0000 0.0000 0.0000
Ac1 0.0000 0.0000 0.4030
Pr1 0.0000 0.0000 0.1985
```

Top 6 peaks for 2θ = 10–90°, sorted by position:
2θ/deg	intensity	(hkl)
11.2	18.8	0 0 6
28.3	100.0	0 1 5
32.8	50.9	1 0 10
47.0	36.6	1 1 0
55.8	33.6	2 0 5
75.9	13.4	1 2 5

***

Please write out number 2 again, unchanged.
This entry pairs a crystal structure of CaAc5Pr2 with its theoretical powder diffractogram. Radiation: Cu Kα (λ = 1.5418 Å). Structure: DFT lattice parameters and positions (PBE).
Peak positions follow from Bragg's law for the DFT cell and can differ from measured ones.

Atomic structure:
```
data_CaAc5Pr2
_chemical_formula_sum 'Ca2 Ac10 Pr4'
_cell_length_a 3.883
_cell_length_b 12.035
_cell_length_c 14.590
_cell_angle_alpha 90.00
_cell_angle_beta 90.00
_cell_angle_gamma 90.00
_symmetry_space_group_name_H-M 'I m m m'
_symmetry_Int_Tables_number 71
_symmetry_space_group_name_Hall '-I 2 2'
loop_
_atom_site_label
_atom_site_fract_x
_atom_site_fract_y
_atom_site_fract_z
Ca1 0.000 0.000 0.000
Ac1 0.000 0.234 0.367
Ac2 0.000 0.500 0.000
Pr1 0.000 0.500 0.254
```

Top 6 peaks for 2θ = 10–90°, sorted by position:
2θ/deg	intensity	(hkl)
28.0	75.9	1 2 1
28.6	100.0	0 2 4
29.4	47.1	1 0 3
29.7	43.1	0 4 0
52.1	39.7	0 6 4
55.8	31.8	2 2 4